(1)
Starting from a structure optimized by DFT (PBE), the powder X-ray diffraction pattern of U2Ni9Ir was simulated for λ = 1.5418 Å (Cu Kα).

Top 8 peaks for 15° ≤ 2θ ≤ 90°, in order of rising 2θ:
2theta	I (rel.)
21.48	50
34.08	93
37.06	100
37.20	98
43.24	65
43.82	100
51.27	40
66.86	54

Structural model:
```
12
Lattice="2.4257 1.4005 7.8786 -2.4257 1.4005 7.8786 0.0000 -2.8010 7.8786" Properties=species:S:1:pos:R:3 pbc="T T T"
U 0.0000 0.0000 3.0493
U 0.0000 0.0000 20.5865
Ni -1.2236 -0.7064 9.8461
Ni 0.0000 0.0000 7.8788
Ni 0.0000 -1.4128 13.7897
Ni -1.2235 0.7064 13.7897
Ni 0.0000 0.0000 11.8179
Ni 1.2236 -0.7064 9.8461
Ni 0.0000 1.4128 9.8461
Ni 0.0000 0.0000 15.7569
Ni 1.2235 0.7064 13.7897
Ir 0.0000 0.0000 0.0000
```

=====

(2)
Starting from a structure optimized by DFT (PBE), the powder X-ray diffraction pattern of U2Ni3Ir3 was simulated for λ = 1.5418 Å (Cu Kα).

Top 8 peaks for 15° ≤ 2θ ≤ 90°, in order of rising 2θ:
2theta	I (rel.)
22.28	17
32.13	14
39.45	100
45.45	17
45.58	17
46.60	16
79.91	13
80.10	13

Structural model:
```
8
Lattice="3.9804 0.0000 0.0000 0.0000 3.9912 0.0000 0.0000 0.0000 7.7966" Properties=species:S:1:pos:R:3 pbc="T T T"
U 0.0000 0.0000 1.9348
U 0.0000 0.0000 5.8617
Ni 0.0000 1.9956 0.0000
Ni 1.9902 1.9956 1.9147
Ni 1.9902 1.9956 5.8818
Ir 0.0000 1.9956 3.8983
Ir 1.9902 0.0000 0.0000
Ir 1.9902 0.0000 3.8983
```

=====

(3)
Starting from a structure optimized by DFT (PBE), the powder X-ray diffraction pattern of V6Ni8Ir was simulated for λ = 1.5418 Å (Cu Kα).

Top 8 peaks for 15° ≤ 2θ ≤ 90°, in order of rising 2θ:
2theta	I (rel.)
19.17	27
33.52	28
38.90	42
40.56	88
41.71	100
46.28	96
49.55	33
52.28	42

Structural model:
```
15
Lattice="9.2600 0.0000 0.0000 -4.6300 8.0194 0.0000 0.0000 0.0000 2.5730" Properties=species:S:1:pos:R:3 pbc="T T T"
V -2.0011 5.0167 0.8331
V 1.2860 3.7780 0.8331
V 3.9148 0.7753 1.7399
V 0.7151 7.2440 0.8331
V 3.3440 4.2414 1.7399
V 6.6311 3.0027 1.7399
Ni -0.5506 2.3498 0.2345
Ni -2.3197 7.3213 0.2345
Ni 1.7597 1.6517 2.3385
Ni 0.0000 5.3462 2.1450
Ni 4.6300 2.6731 0.4280
Ni 2.8703 6.3677 0.2345
Ni 6.9497 0.6981 2.3385
Ni 5.1805 5.6696 2.3385
Ir 0.0000 0.0000 1.2865
```